Computed XRD peak list of Er4ScGa4 for Cu Kα, 1.54184 Å, from a cell relaxed with PBE.
Lines closer than 0.1° are merged.

Crystal structure
Lattice parameters (Å, degrees): 8.629 8.629 5.585 90.00 90.00 90.00
Fractional coordinates of all 18 atoms:
1 Er 0.080 0.827 0.130
2 Er 0.173 0.580 0.630
3 Er 0.327 0.920 0.630
4 Er 0.420 0.673 0.130
5 Er 0.580 0.327 0.870
6 Er 0.673 0.080 0.370
7 Er 0.827 0.420 0.370
8 Er 0.920 0.173 0.870
9 Sc 0.250 0.250 0.750
10 Sc 0.750 0.750 0.250
11 Ga 0.056 0.160 0.363
12 Ga 0.160 0.444 0.137
13 Ga 0.340 0.056 0.137
14 Ga 0.444 0.340 0.363
15 Ga 0.556 0.660 0.637
16 Ga 0.660 0.944 0.863
17 Ga 0.840 0.556 0.863
18 Ga 0.944 0.840 0.637

Largest 10 diffraction maxima, in order of rising 2θ, 2θ from 10° to 80°:
two_theta, I/Imax
14.52, 29
28.11, 58
32.82, 100
33.47, 65
33.74, 95
35.09, 56
36.65, 52
39.85, 50
41.03, 55
54.80, 48